# 1
Simulated powder X-ray diffraction pattern
Compound: DyEr2Al3Cu3
Radiation: Cu Kα
Structure: a GGA-PBE-relaxed structure
Neutral-atom scattering factors, no anomalous dispersion.

Cell and atoms:
Unit cell a=3.9958 b=6.9820 c=6.9820 alpha=119.97 beta=90.00 gamma=90.00
Positions (direct):
Dy  0.0000  0.0000  0.0000
Er  0.0000  0.1706  0.5852
Er  0.0000  0.5852  0.1706
Al  0.5000  0.3472  0.3472
Al  0.5000  0.5843  0.8221
Al  0.5000  0.8221  0.5843
Cu  0.0000  0.5831  0.5831
Cu  0.5000  0.2534  0.9173
Cu  0.5000  0.9173  0.2534

Most intense lines, 10° ≤ 2θ ≤ 90°, low angle first:
d (Å)	2theta	intensity
3.492	25.5	37
3.024	29.5	32
2.629	34.1	100
2.411	37.3	96
2.286	39.4	30
1.547	59.8	35

***

# 2
Simulated powder X-ray diffraction pattern
Compound: ErLuScFeSi3
Radiation: Cu Kα
Structure: a GGA-PBE-relaxed structure
Neutral-atom scattering factors, no anomalous dispersion.

Cell and atoms:
Unit cell a=5.4696 b=5.4696 c=13.1303 alpha=109.41 beta=109.41 gamma=43.71
Positions (direct):
Er  0.0224  0.0224  0.3762
Er  0.9776  0.9776  0.6238
Lu  0.2482  0.2482  0.2247
Lu  0.7518  0.7518  0.7753
Sc  0.0987  0.0987  0.9217
Sc  0.9013  0.9013  0.0783
Fe  0.2546  0.2546  0.5871
Fe  0.7454  0.7454  0.4129
Si  0.3570  0.3570  0.4550
Si  0.3822  0.3822  0.9286
Si  0.4488  0.4488  0.7646
Si  0.5512  0.5512  0.2354
Si  0.6178  0.6178  0.0714
Si  0.6430  0.6430  0.5450

Most intense lines, 10° ≤ 2θ ≤ 90°, low angle first:
d (Å)	2theta	intensity
3.445	25.9	66
2.594	34.6	54
2.583	34.7	100
2.555	35.1	64
2.463	36.5	60
2.036	44.5	45

***

# 3
Simulated powder X-ray diffraction pattern
Compound: Li4DyTcO6
Radiation: Cu Kα
Structure: a GGA-PBE-relaxed structure
Neutral-atom scattering factors, no anomalous dispersion.

Cell and atoms:
Unit cell a=5.3542 b=5.3542 c=5.1883 alpha=99.64 beta=99.64 gamma=120.18
Positions (direct):
Li  0.0000  0.0000  0.0000
Li  0.3716  0.6284  0.0000
Li  0.6901  0.3099  0.0000
Li  0.8499  0.1501  0.5000
Dy  0.1863  0.8137  0.5000
Tc  0.5177  0.4823  0.5000
O  0.1281  0.3977  0.2554
O  0.2851  0.2592  0.7320
O  0.4438  0.1064  0.2589
O  0.6023  0.8719  0.7446
O  0.7408  0.7149  0.2680
O  0.8936  0.5562  0.7411

Most intense lines, 10° ≤ 2θ ≤ 90°, low angle first:
d (Å)	2theta	intensity
4.887	18.2	100
4.422	20.1	43
3.902	22.8	33
2.635	34.0	39
2.513	35.7	28
2.165	41.7	56

***

# 4
Simulated powder X-ray diffraction pattern
Compound: Zr8N7
Radiation: Cu Kα
Structure: a GGA-PBE-relaxed structure
Neutral-atom scattering factors, no anomalous dispersion.

Cell and atoms:
Unit cell a=6.5165 b=6.5165 c=5.6288 alpha=106.95 beta=106.95 gamma=60.03
Positions (direct):
Zr  0.1166  0.6286  0.2439
Zr  0.1249  0.1249  0.2493
Zr  0.3714  0.8834  0.7561
Zr  0.3722  0.3722  0.7583
Zr  0.6278  0.6278  0.2417
Zr  0.6286  0.1166  0.2439
Zr  0.8751  0.8751  0.7507
Zr  0.8834  0.3714  0.7561
N  0.0000  0.0000  0.5000
N  0.0000  0.5000  0.5000
N  0.2492  0.2492  0.9990
N  0.2494  0.7506  0.0000
N  0.5000  0.0000  0.5000
N  0.7506  0.2494  0.0000
N  0.7508  0.7508  0.0010

Most intense lines, 10° ≤ 2θ ≤ 90°, low angle first:
d (Å)	2theta	intensity
2.660	33.7	92
2.650	33.8	30
2.301	39.1	100
1.629	56.5	32
1.626	56.6	21
1.389	67.4	29

***

# 5
Simulated powder X-ray diffraction pattern
Compound: AlGaCo4Ni2
Radiation: Cu Kα
Structure: a GGA-PBE-relaxed structure
Neutral-atom scattering factors, no anomalous dispersion.

Cell and atoms:
Unit cell a=4.0258 b=4.0258 c=5.6954 alpha=90.00 beta=90.00 gamma=90.00
Positions (direct):
Al  0.0000  0.0000  0.0000
Ga  0.5000  0.5000  0.5000
Co  0.0000  0.0000  0.5000
Co  0.0000  0.5000  0.2496
Co  0.5000  0.0000  0.7504
Co  0.5000  0.5000  0.0000
Ni  0.0000  0.5000  0.7504
Ni  0.5000  0.0000  0.2496

Most intense lines, 10° ≤ 2θ ≤ 90°, low angle first:
d (Å)	2theta	intensity
5.695	15.6	2
4.026	22.1	2
2.546	35.2	1
2.013	45.0	100
1.423	65.6	15
1.162	83.1	30

***

# 6
Simulated powder X-ray diffraction pattern
Compound: Ni2SbIr
Radiation: Cu Kα
Structure: a GGA-PBE-relaxed structure
Neutral-atom scattering factors, no anomalous dispersion.

Cell and atoms:
Unit cell a=6.0987 b=6.0987 c=6.0987 alpha=90.00 beta=90.00 gamma=90.00
Positions (direct):
Ni  0.0000  0.0000  0.0000
Ni  0.0000  0.5000  0.5000
Ni  0.2500  0.2500  0.2500
Ni  0.2500  0.7500  0.7500
Ni  0.5000  0.0000  0.5000
Ni  0.5000  0.5000  0.0000
Ni  0.7500  0.2500  0.7500
Ni  0.7500  0.7500  0.2500
Sb  0.0000  0.0000  0.5000
Sb  0.0000  0.5000  0.0000
Sb  0.5000  0.0000  0.0000
Sb  0.5000  0.5000  0.5000
Ir  0.2500  0.2500  0.7500
Ir  0.2500  0.7500  0.2500
Ir  0.7500  0.2500  0.2500
Ir  0.7500  0.7500  0.7500

Most intense lines, 10° ≤ 2θ ≤ 90°, low angle first:
d (Å)	2theta	intensity
3.521	25.3	23
2.156	41.9	100
1.839	49.6	12
1.525	60.7	16
1.399	66.9	5
1.245	76.5	33

***

# 7
Simulated powder X-ray diffraction pattern
Compound: RbEr2Cu3TeS4
Radiation: Cu Kα
Structure: a GGA-PBE-relaxed structure
Neutral-atom scattering factors, no anomalous dispersion.

Cell and atoms:
Unit cell a=7.2758 b=7.2758 c=17.0325 alpha=90.00 beta=90.00 gamma=147.97
Positions (direct):
Rb  0.0471  0.9529  0.7500
Rb  0.9529  0.0471  0.2500
Er  0.1877  0.8123  0.0849
Er  0.1877  0.8123  0.4151
Er  0.8123  0.1877  0.5849
Er  0.8123  0.1877  0.9151
Cu  0.3548  0.6452  0.7500
Cu  0.4155  0.5845  0.0385
Cu  0.4155  0.5845  0.4615
Cu  0.5845  0.4155  0.5385
Cu  0.5845  0.4155  0.9615
Cu  0.6452  0.3548  0.2500
Te  0.2535  0.7465  0.2500
Te  0.7465  0.2535  0.7500
S  0.1690  0.8310  0.5694
S  0.1690  0.8310  0.9306
S  0.4382  0.5618  0.6095
S  0.4382  0.5618  0.8905
S  0.5618  0.4382  0.1095
S  0.5618  0.4382  0.3905
S  0.8310  0.1690  0.0694
S  0.8310  0.1690  0.4306

Most intense lines, 10° ≤ 2θ ≤ 90°, low angle first:
d (Å)	2theta	intensity
6.993	12.7	88
2.995	29.8	81
2.865	31.2	90
2.839	31.5	100
2.296	39.2	79
1.901	47.9	68

***

# 8
Simulated powder X-ray diffraction pattern
Compound: NaTbZn
Radiation: Cu Kα
Structure: a GGA-PBE-relaxed structure
Neutral-atom scattering factors, no anomalous dispersion.

Cell and atoms:
Unit cell a=6.9208 b=6.9208 c=6.9208 alpha=90.00 beta=90.00 gamma=90.00
Positions (direct):
Na  0.0000  0.0000  0.0000
Na  0.0000  0.5000  0.5000
Na  0.5000  0.0000  0.5000
Na  0.5000  0.5000  0.0000
Tb  0.0000  0.0000  0.5000
Tb  0.0000  0.5000  0.0000
Tb  0.5000  0.0000  0.0000
Tb  0.5000  0.5000  0.5000
Zn  0.2500  0.2500  0.2500
Zn  0.2500  0.7500  0.7500
Zn  0.7500  0.2500  0.7500
Zn  0.7500  0.7500  0.2500

Most intense lines, 10° ≤ 2θ ≤ 90°, low angle first:
d (Å)	2theta	intensity
3.996	22.2	85
3.460	25.7	24
2.447	36.7	100
2.087	43.4	45
1.588	58.1	19
1.413	66.1	34